Structure and simulated powder X-ray diffraction pattern of K3Nd3Br10 (the PBE geometry in the Materials Project; copper Kα).

The 12 most intense peaks (2θ = 15–90°), low angle first:
2θ = 26.2°, rel. 34, hkl 1 2 2; 2θ = 28.3°, rel. 61, hkl 1 4 0; 2θ = 28.9°, rel. 53, hkl 2 1 -2; 2θ = 29.1°, rel. 34, hkl 2 3 0; 2θ = 30.2°, rel. 41, hkl 1 4 1; 2θ = 30.6°, rel. 70, hkl 2 1 2; 2θ = 31.1°, rel. 63, hkl 2 2 -2; 2θ = 32.7°, rel. 50, hkl 2 2 2; 2θ = 32.8°, rel. 100, hkl 0 4 2; 2θ = 32.9°, rel. 33, hkl 3 1 0; 2θ = 39.4°, rel. 59, hkl 0 0 4; 2θ = 39.7°, rel. 46, hkl 1 5 -2

Structural model:
Cell: 8.3441 13.6087 9.1683 Å, 90.00 93.29 90.00°
Space group P2_1 (No. 4)
Symmetry-distinct sites (fractional):
K 0.1996 0.0000 0.2494 [2 per cell]
K 0.2055 0.9901 0.7459 [2 per cell]
K 0.2914 0.3410 0.2571 [2 per cell]
Nd 0.1892 0.6720 0.5026 [2 per cell]
Nd 0.3045 0.3407 0.7613 [2 per cell]
Nd 0.3363 0.6734 0.0142 [2 per cell]
Br 0.0824 0.4570 0.5236 [2 per cell]
Br 0.0827 0.7561 0.2051 [2 per cell]
Br 0.0873 0.7532 0.7865 [2 per cell]
Br 0.1291 0.4794 0.9790 [2 per cell]
Br 0.1890 0.1839 0.5300 [2 per cell]
Br 0.3009 0.1759 0.9831 [2 per cell]
Br 0.4079 0.5711 0.2998 [2 per cell]
Br 0.4152 0.5691 0.7278 [2 per cell]
Br 0.4273 0.8400 0.4667 [2 per cell]
Br 0.4322 0.8855 0.0059 [2 per cell]